(1)
This entry pairs a crystal structure of AlN3Cl3 with its calculated XRD peak list. Radiation: copper Kα. Structure: a DFT-relaxed cell (PBE, Alexandria).
Peak positions follow from Bragg's law for the DFT cell and can differ from measured ones.

Unit cell a=4.7928 b=7.1993 c=9.4329 alpha=94.48 beta=93.51 gamma=91.15
Space group P-1 (No. 2)
Inequivalent atoms, fractional coordinates:
Al: 0.0000 0.0000 0.0000 (multiplicity 1)
Al: 0.0000 0.5000 0.5000 (multiplicity 1)
N: 0.0876 0.4586 0.3017 (multiplicity 2)
N: 0.2514 0.7978 0.9829 (multiplicity 2)
N: 0.2874 0.6877 0.5265 (multiplicity 2)
Cl: 0.0337 0.0458 0.7732 (multiplicity 2)
Cl: 0.4504 0.2475 0.0762 (multiplicity 2)
Cl: 0.4603 0.2735 0.5721 (multiplicity 2)

The 6 most intense peaks (2θ from 10° to 80°), sorted by position:
14.93°, d 5.932, intensity 88, hkl 0 1 -1
16.13°, d 5.494, intensity 84, hkl 0 1 1
23.46°, d 3.792, intensity 68, hkl 0 1 2
29.35°, d 3.043, intensity 54, hkl 1 -1 2
30.78°, d 2.905, intensity 100, hkl 1 -2 0
31.55°, d 2.836, intensity 93, hkl 1 2 0

(2)
This entry pairs a crystal structure of CaTl2InBr5 with its calculated XRD peak list. Radiation: copper Kα. Structure: a DFT-relaxed cell (PBE, Alexandria).
Peak positions follow from Bragg's law for the DFT cell and can differ from measured ones.

Unit cell a=4.3886 b=18.9392 c=17.1994 alpha=90.00 beta=90.00 gamma=90.00
Space group Cmc2_1 (No. 36)
Inequivalent atoms, fractional coordinates:
Ca: 0.0000 0.2414 0.0000 (multiplicity 4)
Tl: 0.0000 0.3464 0.2240 (multiplicity 4)
Tl: 0.0000 0.4456 0.6239 (multiplicity 4)
In: 0.0000 0.0604 0.4057 (multiplicity 4)
Br: 0.0000 0.0328 0.7383 (multiplicity 4)
Br: 0.0000 0.0897 0.9882 (multiplicity 4)
Br: 0.0000 0.2393 0.3888 (multiplicity 4)
Br: 0.0000 0.2679 0.6167 (multiplicity 4)
Br: 0.0000 0.3945 0.0296 (multiplicity 4)

The 6 most intense peaks (2θ from 10° to 80°), sorted by position:
18.09°, d 4.904, intensity 73, hkl 0 2 3
23.23°, d 3.828, intensity 100, hkl 1 1 2
31.63°, d 2.828, intensity 76, hkl 1 5 1
32.40°, d 2.763, intensity 48, hkl 0 6 3
33.43°, d 2.680, intensity 74, hkl 1 1 5
34.99°, d 2.565, intensity 53, hkl 1 5 3

(3)
This entry pairs a crystal structure of Y3Zn2Ni9 with its calculated XRD peak list. Radiation: copper Kα. Structure: a DFT-relaxed cell (PBE, Alexandria).
Peak positions follow from Bragg's law for the DFT cell and can differ from measured ones.

Unit cell a=3.9965 b=8.6176 c=12.2254 alpha=90.00 beta=90.00 gamma=90.00
Space group Immm (No. 71)
Inequivalent atoms, fractional coordinates:
Y: 0.0000 0.0000 0.0000 (multiplicity 2)
Y: 0.0000 0.0000 0.3039 (multiplicity 4)
Zn: 0.0000 0.2107 0.5000 (multiplicity 4)
Ni: 0.0000 0.2762 0.1200 (multiplicity 8)
Ni: 0.0000 0.3533 0.3208 (multiplicity 8)
Ni: 0.0000 0.5000 0.0000 (multiplicity 2)

The 6 most intense peaks (2θ from 10° to 80°), sorted by position:
37.82°, d 2.379, intensity 100, hkl 1 2 3
38.58°, d 2.333, intensity 49, hkl 1 3 0
41.43°, d 2.179, intensity 36, hkl 1 3 2
43.38°, d 2.086, intensity 42, hkl 1 0 5
45.39°, d 1.998, intensity 53, hkl 2 0 0
48.52°, d 1.876, intensity 34, hkl 1 2 5

(4)
This entry pairs a crystal structure of Cs2CeTeS4 with its calculated XRD peak list. Radiation: copper Kα. Structure: a DFT-relaxed cell (PBE, Alexandria).
Peak positions follow from Bragg's law for the DFT cell and can differ from measured ones.

Unit cell a=8.2030 b=8.2030 c=8.7439 alpha=90.00 beta=90.00 gamma=90.00
Space group I-4 (No. 82)
Inequivalent atoms, fractional coordinates:
Cs: 0.0000 0.0000 0.0000 (multiplicity 2)
Cs: 0.0000 0.5000 0.2500 (multiplicity 2)
Ce: 0.0000 0.0000 0.5000 (multiplicity 2)
Te: 0.0000 0.5000 0.7500 (multiplicity 2)
S: 0.1433 0.7860 0.6794 (multiplicity 8)

The 6 most intense peaks (2θ from 10° to 80°), sorted by position:
21.67°, d 4.101, intensity 55, hkl 2 0 0
25.51°, d 3.491, intensity 100, hkl 1 1 2
30.83°, d 2.900, intensity 35, hkl 2 2 0
40.43°, d 2.231, intensity 65, hkl 1 3 2
47.11°, d 1.929, intensity 20, hkl 2 0 4
49.71°, d 1.834, intensity 19, hkl 4 2 0

(5)
This entry pairs a crystal structure of Pm2ErCu2 with its calculated XRD peak list. Radiation: copper Kα. Structure: a DFT-relaxed cell (PBE, Alexandria).
Peak positions follow from Bragg's law for the DFT cell and can differ from measured ones.

Unit cell a=5.5266 b=4.4357 c=10.6513 alpha=90.00 beta=95.74 gamma=90.00
Space group P2_1/m (No. 11)
Inequivalent atoms, fractional coordinates:
Pm: 0.1042 0.2500 0.3778 (multiplicity 2)
Pm: 0.2528 0.2500 0.0470 (multiplicity 2)
Er: 0.4019 0.2500 0.7102 (multiplicity 2)
Cu: 0.2359 0.7500 0.8537 (multiplicity 2)
Cu: 0.3859 0.7500 0.5263 (multiplicity 2)

The 6 most intense peaks (2θ from 10° to 80°), sorted by position:
25.81°, d 3.452, intensity 51, hkl 1 1 0
27.67°, d 3.224, intensity 63, hkl 1 1 1
32.40°, d 2.763, intensity 98, hkl 0 1 3
34.51°, d 2.599, intensity 59, hkl 2 0 1
35.21°, d 2.549, intensity 100, hkl 2 0 -2
40.68°, d 2.218, intensity 58, hkl 0 2 0

(6)
This entry pairs a crystal structure of CaAgHg2F8 with its calculated XRD peak list. Radiation: copper Kα. Structure: a DFT-relaxed cell (PBE, Alexandria).
Peak positions follow from Bragg's law for the DFT cell and can differ from measured ones.

Unit cell a=5.5851 b=5.5851 c=11.1463 alpha=90.00 beta=90.00 gamma=90.00
Space group I-4m2 (No. 119)
Inequivalent atoms, fractional coordinates:
Ca: 0.0000 0.0000 0.0000 (multiplicity 2)
Ag: 0.0000 0.5000 0.7500 (multiplicity 2)
Hg: 0.0000 0.0000 0.5000 (multiplicity 2)
Hg: 0.0000 0.5000 0.2500 (multiplicity 2)
F: 0.2442 0.2482 0.8757 (multiplicity 16)

The 6 most intense peaks (2θ from 10° to 80°), sorted by position:
17.76°, d 4.993, intensity 27, hkl 1 0 1
27.68°, d 3.222, intensity 100, hkl 1 1 2
32.07°, d 2.791, intensity 26, hkl 2 0 0
46.00°, d 1.973, intensity 60, hkl 2 2 0
54.53°, d 1.683, intensity 46, hkl 3 1 2
74.04°, d 1.280, intensity 18, hkl 3 3 2